Entry 1:
This entry pairs a crystal structure of FeSO4F with its calculated X-ray powder pattern. Radiation: λ = 1.5418 Å (Cu Kα). Structure: a DFT-relaxed cell (GGA+U, the Materials Project).
Lines closer than 0.1° are merged.

Most intense lines, 2θ from 10° to 90°, sorted by position:
(hkl)  2theta  d/Å  I_rel
1 1 -1  18.47  4.803  56
0 2 0  24.59  3.620  33
1 1 1  26.85  3.320  100
2 0 -2  27.87  3.201  71
0 2 1  28.25  3.159  25
1 3 -1  39.92  2.258  20
1 3 1  44.72  2.027  17
2 2 2  55.34  1.660  16
4 0 -4  57.63  1.600  23
2 4 0  58.46  1.579  20

Structural model:
Lattice parameters (Å, degrees): 7.3930 7.2404 7.4334 90.00 119.47 90.00
Space group C2/c (No. 15)
Unique sites:
Fe: 0.2500 0.2500 0.0000
S: 0.0000 0.1298 0.2500
O: 0.0965 0.2524 0.1616
O: 0.1621 0.0138 0.4166
F: 0.0000 0.3319 0.7500

Entry 2:
This entry pairs a crystal structure of FeSO4F with its calculated X-ray powder pattern. Radiation: λ = 1.5418 Å (Cu Kα). Structure: a DFT-relaxed cell (GGA+U, the Materials Project).
Lines closer than 0.1° are merged.

Most intense lines, 2θ from 10° to 90°, sorted by position:
(hkl)  2theta  d/Å  I_rel
0 1 0  18.27  4.855  40
0 1 1  18.49  4.800  67
1 1 1  23.96  3.714  42
0 1 -1  26.58  3.354  66
1 0 2  27.09  3.292  100
1 1 0  27.41  3.254  30
-1 1 1  28.35  3.148  99
2 1 1  39.05  2.307  39
-1 2 2  44.94  2.017  24
1 -1 3  49.05  1.857  25

Structural model:
Lattice parameters (Å, degrees): 5.1594 5.1995 7.3994 69.84 69.68 88.35
Space group P-1 (No. 2)
Unique sites:
Fe: 0.0000 0.0000 0.0000
Fe: 0.0000 0.5000 0.5000
S: 0.3814 0.0896 0.2560
O: 0.2583 0.2433 0.3942
O: 0.2687 0.1641 0.0863
O: 0.3136 0.8361 0.8327
O: 0.3250 0.7884 0.3769
F: 0.0679 0.3423 0.7605

Entry 3:
This entry pairs a crystal structure of Sr2Fe2Se2OF2 with its calculated X-ray powder pattern. Radiation: λ = 1.5418 Å (Cu Kα). Structure: a DFT-relaxed cell (GGA+U, the Materials Project).
Lines closer than 0.1° are merged.

Most intense lines, 2θ from 10° to 90°, sorted by position:
(hkl)  2theta  d/Å  I_rel
1 0 3  25.64  3.475  25
1 1 0  30.35  2.945  23
1 0 5  31.96  2.800  100
1 1 4  35.93  2.500  79
2 0 0  43.46  2.082  59
1 0 9  48.52  1.876  22
1 1 8  49.43  1.844  20
2 1 5  54.95  1.671  41
2 2 0  63.15  1.472  18
3 1 4  74.84  1.269  17

Structural model:
Lattice parameters (Å, degrees): 4.1646 4.1646 18.9152 90.00 90.00 90.00
Space group I4/mmm (No. 139)
Unique sites:
Sr: 0.0000 0.0000 0.1755
Fe: 0.0000 0.5000 0.0000
Se: 0.0000 0.0000 0.4024
O: 0.0000 0.0000 0.0000
F: 0.0000 0.5000 0.2500